This entry pairs a crystal structure of MgP4H24N8O8 with its computed X-ray powder pattern. Radiation: CuKα. Structure: a GGA-PBE-relaxed structure.
Intensities are scaled so that the largest is 100.

Main lines, low angle first (15 to 90 degrees two-theta):
d [Å]  I (rel.)
5.309  26
5.203  64
5.050  100
4.266  65
3.646  40
3.626  37
3.604  51
2.621  37

Structure:
Lattice parameters (Å, degrees): 7.212 8.073 8.544 90.11 92.68 115.44
Space group P1 (No. 1)
Inequivalent atoms, fractional coordinates:
Mg 0.000 0.000 0.000
P 0.062 0.510 0.348
P 0.324 0.264 0.816
P 0.591 0.526 0.772
P 0.770 0.257 0.299
H 0.040 0.614 0.880
H 0.077 0.080 0.394
H 0.112 0.444 0.608
H 0.146 0.905 0.374
H 0.173 0.697 0.050
H 0.214 0.037 0.545
H 0.231 0.828 0.891
H 0.304 0.656 0.899
H 0.305 0.339 0.080
H 0.334 0.129 0.382
H 0.444 0.217 0.060
H 0.468 0.583 0.539
H 0.494 0.621 0.262
H 0.578 0.083 0.705
H 0.607 0.465 0.509
H 0.636 0.719 0.103
H 0.661 0.917 0.725
H 0.684 0.845 0.269
H 0.711 0.044 0.557
H 0.756 0.673 0.256
H 0.763 0.343 0.036
H 0.777 0.140 0.055
H 0.838 0.137 0.727
H 0.983 0.573 0.592
N 0.092 0.544 0.543
N 0.188 0.697 0.930
N 0.191 0.037 0.423
N 0.323 0.241 0.014
N 0.592 0.563 0.580
N 0.640 0.712 0.224
N 0.695 0.045 0.678
N 0.723 0.228 0.103
O 0.029 0.671 0.277
O 0.125 0.278 0.768
O 0.239 0.476 0.289
O 0.345 0.095 0.752
O 0.541 0.670 0.854
O 0.597 0.290 0.368
O 0.782 0.501 0.824
O 0.795 0.088 0.359